No. 1
Starting from a crystal structure in the Materials Project, relaxed with PBE, the powder diffractogram of Dy2Al6Si4Au was simulated for a wavelength of 1.5418 Å.

Top 10 peaks for 10° ≤ 2θ ≤ 80°, by angle:
2θ/deg  I_rel  h k l
15.84  56.4  0 0 9
24.68  41.8  0 1 2
26.00  30.8  0 1 5
27.44  100.0  1 0 7
35.06  28.4  0 1 14
37.77  61.1  1 0 16
42.99  60.6  1 1 0
46.09  24.4  1 1 9
48.52  24.8  0 1 23
51.75  17.4  0 2 7

Cell and atoms:
Cell lengths 4.2083, 4.2083, 50.3444 Å; angles 90.00, 90.00, 120.00 degrees
Space group R-3m (No. 166, hexagonal axes)
Symmetry-distinct sites (fractional):
Dy  0.0000  0.0000  0.0655 x6
Al  0.0000  0.0000  0.1832 x6
Al  0.0000  0.0000  0.3145 x6
Al  0.0000  0.0000  0.4477 x6
Si  0.0000  0.0000  0.2343 x6
Si  0.0000  0.0000  0.3649 x6
Au  0.0000  0.0000  0.5000 x3

No. 2
Starting from a crystal structure in the Materials Project, relaxed with PBE, the powder diffractogram of ErAlAu was simulated for a wavelength of 1.5418 Å.

Top 10 peaks for 10° ≤ 2θ ≤ 80°, by angle:
2θ/deg  I_rel  h k l
25.91  36.1  1 0 2
26.34  50.0  1 1 1
33.06  42.9  1 1 2
33.90  21.0  2 0 2
34.24  100.0  2 1 1
39.44  15.7  3 0 1
40.13  35.2  0 1 3
41.02  32.7  0 2 0
49.16  13.8  1 2 2
65.10  14.9  3 1 4

Cell and atoms:
Cell lengths 7.1649, 4.4011, 7.8405 Å; angles 90.00, 90.00, 90.00 degrees
Space group Pnma (No. 62)
Symmetry-distinct sites (fractional):
Er  0.0117  0.2500  0.1897 x4
Al  0.1651  0.2500  0.5728 x4
Au  0.2143  0.7500  0.3949 x4

No. 3
Starting from a crystal structure in the Materials Project, relaxed with PBE, the powder diffractogram of Eu2Al3Au6 was simulated for a wavelength of 1.5418 Å.

Top 10 peaks for 10° ≤ 2θ ≤ 80°, by angle:
2θ/deg  I_rel  h k l
20.94  16.1  1 1 0
24.21  40.7  0 0 6
32.22  95.9  1 1 6
32.49  15.2  2 1 1
36.69  100.0  3 0 0
42.60  50.6  1 1 9
44.44  28.9  0 3 6
49.61  27.2  0 0 12
63.26  32.3  1 4 6
67.40  18.1  1 1 15

Cell and atoms:
Cell lengths 8.4850, 8.4850, 22.0594 Å; angles 90.00, 90.00, 120.00 degrees
Space group R-3c (No. 167, hexagonal axes)
Symmetry-distinct sites (fractional):
Eu  0.0000  0.0000  0.0889 x12
Al  0.0000  0.1965  0.2500 x18
Au  0.0194  0.3733  0.3490 x36

No. 4
Starting from a crystal structure in the Materials Project, relaxed with PBE, the powder diffractogram of Na2AlAuF6 was simulated for a wavelength of 1.5418 Å.

Top 10 peaks for 10° ≤ 2θ ≤ 80°, by angle:
2θ/deg  I_rel  h k l
18.08  71.5  1 1 1
20.90  99.2  2 0 0
29.73  100.0  2 2 0
35.01  70.8  3 1 1
42.54  45.1  4 0 0
46.57  44.3  3 3 1
47.86  38.7  4 2 0
52.76  37.4  4 2 2
61.74  25.6  4 4 0
70.01  21.3  6 2 0

Cell and atoms:
Cell lengths 8.4999, 8.4999, 8.4999 Å; angles 90.00, 90.00, 90.00 degrees
Space group Fm-3m (No. 225)
Symmetry-distinct sites (fractional):
Na  0.2500  0.2500  0.2500 x8
Al  0.0000  0.0000  0.0000 x4
Au  0.0000  0.0000  0.5000 x4
F  0.0000  0.0000  0.2142 x24

No. 5
Starting from a crystal structure in the Materials Project, relaxed with PBE, the powder diffractogram of Rb2AlAuF6 was simulated for a wavelength of 1.5418 Å.

Top 10 peaks for 10° ≤ 2θ ≤ 80°, by angle:
2θ/deg  I_rel  h k l
17.59  29.3  1 1 1
28.92  100.0  2 2 0
34.05  30.7  3 1 1
41.36  34.6  4 0 0
45.26  19.9  3 3 1
51.25  38.0  4 2 2
54.61  8.8  3 3 3
59.92  20.6  4 4 0
62.97  8.1  5 3 1
67.88  20.7  6 2 0

Cell and atoms:
Cell lengths 8.7326, 8.7326, 8.7326 Å; angles 90.00, 90.00, 90.00 degrees
Space group Fm-3m (No. 225)
Symmetry-distinct sites (fractional):
Rb  0.2500  0.2500  0.2500 x8
Al  0.0000  0.0000  0.0000 x4
Au  0.0000  0.0000  0.5000 x4
F  0.0000  0.0000  0.2109 x24

No. 6
Starting from a crystal structure in the Materials Project, relaxed with PBE, the powder diffractogram of GdAl7Au3 was simulated for a wavelength of 1.5418 Å.

Top 10 peaks for 10° ≤ 2θ ≤ 80°, by angle:
2θ/deg  I_rel  h k l
25.30  100.0  1 1 3
33.64  34.4  1 1 6
38.40  37.3  3 0 0
44.49  31.0  1 1 9
46.53  43.7  2 2 3
51.96  8.9  2 2 6
61.88  17.5  4 1 3
66.28  17.5  3 0 12
66.43  11.4  1 4 6
73.70  10.4  4 1 9

Cell and atoms:
Cell lengths 8.1199, 8.1199, 21.1834 Å; angles 90.00, 90.00, 120.00 degrees
Space group R-3c (No. 167, hexagonal axes)
Symmetry-distinct sites (fractional):
Gd  0.0000  0.0000  0.0000 x6
Al  0.0000  0.0000  0.2500 x6
Al  0.0106  0.2064  0.1367 x36
Au  0.0000  0.3227  0.2500 x18

No. 7
Starting from a crystal structure in the Materials Project, relaxed with PBE, the powder diffractogram of GdAl4Ge2Au was simulated for a wavelength of 1.5418 Å.

Top 10 peaks for 10° ≤ 2θ ≤ 80°, by angle:
2θ/deg  I_rel  h k l
15.81  28.2  0 0 6
23.34  22.0  0 1 2
25.10  100.0  1 0 4
31.23  26.8  0 1 8
35.19  41.1  1 0 10
39.90  54.8  1 1 0
43.17  14.6  1 1 6
44.24  24.1  0 1 14
47.72  17.9  0 2 4
63.90  15.0  2 1 4

Cell and atoms:
Cell lengths 4.5188, 4.5188, 33.6295 Å; angles 90.00, 90.00, 120.00 degrees
Space group R-3m (No. 166, hexagonal axes)
Symmetry-distinct sites (fractional):
Gd  0.0000  0.0000  0.0000 x3
Al  0.0000  0.0000  0.1930 x6
Al  0.0000  0.0000  0.4165 x6
Ge  0.0000  0.0000  0.2767 x6
Au  0.0000  0.0000  0.5000 x3

No. 8
Starting from a crystal structure in the Materials Project, relaxed with PBE, the powder diffractogram of Gd2Al6Si4Au was simulated for a wavelength of 1.5418 Å.

Top 10 peaks for 10° ≤ 2θ ≤ 80°, by angle:
2θ/deg  I_rel  h k l
15.86  53.4  0 0 9
24.53  41.1  0 1 2
25.86  30.8  0 1 5
27.30  100.0  1 0 7
34.96  28.6  0 1 14
37.69  59.7  1 0 16
42.70  61.1  1 1 0
45.82  23.6  1 1 9
48.47  24.1  0 1 23
58.20  33.9  0 2 16

Cell and atoms:
Cell lengths 4.2354, 4.2354, 50.2842 Å; angles 90.00, 90.00, 120.00 degrees
Space group R-3m (No. 166, hexagonal axes)
Symmetry-distinct sites (fractional):
Gd  0.0000  0.0000  0.0656 x6
Al  0.0000  0.0000  0.1833 x6
Al  0.0000  0.0000  0.3146 x6
Al  0.0000  0.0000  0.4476 x6
Si  0.0000  0.0000  0.2339 x6
Si  0.0000  0.0000  0.3646 x6
Au  0.0000  0.0000  0.5000 x3

No. 9
Starting from a crystal structure in the Materials Project, relaxed with PBE, the powder diffractogram of NdAl4Ge2Au was simulated for a wavelength of 1.5418 Å.

Top 10 peaks for 10° ≤ 2θ ≤ 80°, by angle:
2θ/deg  I_rel  h k l
16.88  26.0  0 0 6
24.70  20.7  0 1 2
26.60  100.0  1 0 4
33.20  26.6  0 1 8
37.47  36.9  1 0 10
42.27  53.7  1 1 0
47.25  21.5  0 1 14
50.64  17.3  0 2 4
55.41  14.9  1 1 12
68.03  14.3  2 1 4

Cell and atoms:
Cell lengths 4.2761, 4.2761, 31.5171 Å; angles 90.00, 90.00, 120.00 degrees
Space group R-3m (No. 166, hexagonal axes)
Symmetry-distinct sites (fractional):
Nd  0.0000  0.0000  0.0000 x3
Al  0.0000  0.0000  0.1919 x6
Al  0.0000  0.0000  0.4172 x6
Ge  0.0000  0.0000  0.2756 x6
Au  0.0000  0.0000  0.5000 x3

No. 10
Starting from a crystal structure in the Materials Project, relaxed with PBE, the powder diffractogram of HoAlAu was simulated for a wavelength of 1.5418 Å.

Top 10 peaks for 10° ≤ 2θ ≤ 80°, by angle:
2θ/deg  I_rel  h k l
25.93  36.1  1 0 2
26.21  53.6  1 1 1
32.96  39.5  1 1 2
33.92  25.2  2 0 2
34.14  100.0  2 1 1
39.46  15.4  3 0 1
40.06  40.3  0 1 3
40.64  33.8  0 2 0
65.09  14.6  3 1 4
73.57  19.5  0 3 3

Cell and atoms:
Cell lengths 7.1615, 4.4402, 7.8336 Å; angles 90.00, 90.00, 90.00 degrees
Space group Pnma (No. 62)
Symmetry-distinct sites (fractional):
Ho  0.0095  0.2500  0.1934 x4
Al  0.1676  0.2500  0.5749 x4
Au  0.2150  0.7500  0.3998 x4

No. 11
Starting from a crystal structure in the Materials Project, relaxed with PBE, the powder diffractogram of Rb2AlAuI6 was simulated for a wavelength of 1.5418 Å.

Top 10 peaks for 10° ≤ 2θ ≤ 80°, by angle:
2θ/deg  I_rel  h k l
15.21  37.5  2 0 0
25.36  16.0  3 1 1
26.51  72.8  2 2 2
30.70  100.0  4 0 0
33.54  12.6  3 3 1
34.44  20.1  4 2 0
43.98  73.1  4 4 0
52.09  31.5  6 2 2
54.59  25.4  4 4 4
72.60  32.2  8 4 0

Cell and atoms:
Cell lengths 11.6472, 11.6472, 11.6472 Å; angles 90.00, 90.00, 90.00 degrees
Space group Fm-3m (No. 225)
Symmetry-distinct sites (fractional):
Rb  0.2500  0.2500  0.2500 x8
Al  0.0000  0.0000  0.0000 x4
Au  0.0000  0.0000  0.5000 x4
I  0.0000  0.0000  0.2427 x24

No. 12
Starting from a crystal structure in the Materials Project, relaxed with PBE, the powder diffractogram of LiAlAu was simulated for a wavelength of 1.5418 Å.

Top 10 peaks for 10° ≤ 2θ ≤ 80°, by angle:
2θ/deg  I_rel  h k l
23.52  100.0  1 0 0
32.32  12.7  0 0 2
40.36  70.4  1 0 2
41.34  38.0  1 1 0
48.11  15.5  2 0 0
53.43  19.1  1 1 2
59.15  23.2  2 0 2
65.26  12.6  2 1 0
72.71  9.3  1 0 4
74.72  23.7  2 1 2

Cell and atoms:
Cell lengths 4.3678, 4.3678, 5.5398 Å; angles 90.00, 90.00, 120.00 degrees
Space group P6_3/mmc (No. 194)
Symmetry-distinct sites (fractional):
Li  0.3333  0.6667  0.2500 x2
Al  0.3333  0.6667  0.7500 x2
Au  0.0000  0.0000  0.0000 x2